1.
The following is a computed X-ray powder pattern of LiNd2Zn7. It was derived from a DFT-relaxed cell (PBE, Alexandria), using CuKα.

Largest 10 diffraction maxima, most intense first, 2θ from 5° to 70°:
| Position (°2θ) | I/Imax | (hkl) |
| --- | --- | --- |
| 34.10 | 100 | 1 1 2 |
| 32.80 | 78 | 1 0 3 |
| 42.27 | 60 | 2 0 0 |
| 47.73 | 36 | 1 0 5 |
| 54.51 | 36 | 2 1 3 |
| 29.54 | 32 | 1 1 0 |
| 65.63 | 27 | 2 1 5 |
| 8.31 | 19 | 0 0 1 |
| 61.31 | 19 | 2 2 0 |
| 22.40 | 10 | 1 0 1 |

Structure:
Cell lengths 4.277, 4.277, 10.642 Å; angles 90.00, 90.00, 90.00 degrees
Space group P-4m2 (No. 115)
Asymmetric unit:
1 Li 0.000 0.000 0.000
2 Nd 0.000 0.500 0.738
3 Zn 0.000 0.000 0.500
4 Zn 0.000 0.500 0.138
5 Zn 0.000 0.500 0.370
6 Zn 0.500 0.500 0.000
7 Zn 0.500 0.500 0.500

=====

2.
The following is a computed X-ray powder pattern of Li3Ni. It was derived from a DFT-relaxed cell (PBE, Alexandria), using CuKα.

Largest 10 diffraction maxima, most intense first, 2θ from 5° to 70°:
| Position (°2θ) | I/Imax | (hkl) |
| --- | --- | --- |
| 17.30 | 100 | 0 0 1 |
| 21.21 | 59 | 0 1 0 |
| 27.50 | 58 | 0 1 1 |
| 41.29 | 36 | 0 1 2 |
| 42.52 | 33 | 1 1 -1 |
| 42.11 | 20 | 1 1 0 |
| 35.01 | 16 | 0 0 2 |
| 43.19 | 16 | 0 2 0 |
| 43.61 | 15 | 1 0 1 |
| 36.41 | 14 | 1 0 -1 |

Structure:
Cell lengths 2.560, 4.189, 5.252 Å; angles 90.00, 102.57, 90.00 degrees
Space group P2/m (No. 10)
Asymmetric unit:
1 Li 0.000 0.000 0.000
2 Li 0.221 0.500 0.724
3 Ni 0.500 0.000 0.500

=====

3.
The following is a computed X-ray powder pattern of Li3Ni. It was derived from a DFT-relaxed cell (PBE, Alexandria), using CuKα.

Largest 10 diffraction maxima, most intense first, 2θ from 5° to 70°:
| Position (°2θ) | I/Imax | (hkl) |
| --- | --- | --- |
| 18.38 | 100 | 1 0 0 |
| 20.27 | 76 | 0 0 2 |
| 40.24 | 48 | 2 0 -2 |
| 25.59 | 42 | 1 0 -2 |
| 41.57 | 41 | 1 1 1 |
| 36.24 | 33 | 0 1 1 |
| 29.27 | 28 | 1 0 2 |
| 49.16 | 25 | 1 1 -3 |
| 41.20 | 21 | 0 0 4 |
| 46.94 | 17 | 0 1 3 |

Structure:
Cell lengths 4.870, 2.585, 8.841 Å; angles 90.00, 97.56, 90.00 degrees
Space group P2/c (No. 13)
Asymmetric unit:
1 Li 0.000 0.250 0.250
2 Li 0.273 0.249 0.010
3 Ni 0.500 0.251 0.750

=====

4.
The following is a computed X-ray powder pattern of Li2Ni13. It was derived from a DFT-relaxed cell (PBE, Alexandria), using CuKα.

Largest 10 diffraction maxima, most intense first, 2θ from 5° to 70°:
| Position (°2θ) | I/Imax | (hkl) |
| --- | --- | --- |
| 32.59 | 100 | 0 2 1 |
| 48.78 | 77 | 2 1 4 |
| 52.07 | 77 | 0 3 3 |
| 27.33 | 56 | 1 0 4 |
| 42.53 | 32 | 1 0 7 |
| 48.08 | 31 | 0 1 8 |
| 51.52 | 24 | 0 2 7 |
| 56.40 | 20 | 2 0 8 |
| 42.92 | 19 | 2 0 5 |
| 19.37 | 18 | 0 1 2 |

Structure:
Cell lengths 6.4388, 6.4388, 16.0934 Å; angles 90.00, 90.00, 120.00 degrees
Space group R-3m (No. 166, hexagonal axes)
Asymmetric unit:
1 Li 0.0000 0.0000 0.2374
2 Ni 0.0000 0.0000 0.5000
3 Ni 0.0864 0.5432 0.3008
4 Ni 0.0931 0.5466 0.5626